Mg6Si5: simulated powder diffractogram (Cu Kα (weighted mean of Kα1 and Kα2)), based on DFT lattice parameters and positions (PBE).
Kinematic intensities with the Lorentz-polarization factor, no thermal factor.

Principal peaks in the range 15 to 90 degrees two-theta, in order of falling intensity:
2.301 Å, rel. 100.0, (1 0 6)
2.556 Å, rel. 95.3, (1 1 5)
1.958 Å, rel. 90.6, (2 0 1)
2.389 Å, rel. 72.2, (1 2 4)
2.544 Å, rel. 57.5, (1 2 0)
2.537 Å, rel. 57.3, (1 -2 1)

Cell and atoms:
```
data_Mg6Si5
_chemical_formula_sum 'Mg12 Si10'
_cell_length_a 3.917
_cell_length_b 6.985
_cell_length_c 16.058
_cell_angle_alpha 78.98
_cell_angle_beta 83.09
_cell_angle_gamma 89.87
_space_group_name_H-M_alt 'P 1'
_space_group_IT_number 1
loop_
_space_group_symop_operation_xyz
'x,y,z'
loop_
_atom_site_label
_atom_site_type_symbol
_atom_site_fract_x
_atom_site_fract_y
_atom_site_fract_z
_atom_site_occupancy
Mg1 Mg 0.000 0.000 0.000 1
Mg2 Mg 0.015 0.463 0.969 1
Mg3 Mg 0.159 0.400 0.678 1
Mg4 Mg 0.197 0.938 0.603 1
Mg5 Mg 0.270 0.369 0.457 1
Mg6 Mg 0.306 0.901 0.384 1
Mg7 Mg 0.458 0.232 0.085 1
Mg8 Mg 0.544 0.780 0.911 1
Mg9 Mg 0.574 0.310 0.849 1
Mg10 Mg 0.735 0.652 0.531 1
Mg11 Mg 0.889 0.972 0.216 1
Mg12 Mg 0.932 0.589 0.136 1
Si1 Si 0.091 0.027 0.816 1
Si2 Si 0.098 0.650 0.804 1
Si3 Si 0.371 0.665 0.254 1
Si4 Si 0.376 0.298 0.245 1
Si5 Si 0.637 0.047 0.722 1
Si6 Si 0.646 0.692 0.706 1
Si7 Si 0.707 0.256 0.582 1
Si8 Si 0.759 0.050 0.478 1
Si9 Si 0.821 0.611 0.356 1
Si10 Si 0.831 0.254 0.337 1
```

ErIn2Ag: simulated powder diffractogram (Cu Kα (weighted mean of Kα1 and Kα2)), based on DFT lattice parameters and positions (PBE).
Kinematic intensities with the Lorentz-polarization factor, no thermal factor.

Principal peaks in the range 15 to 90 degrees two-theta, in order of falling intensity:
2.601 Å, rel. 100.0, (1 1 4)
2.340 Å, rel. 39.2, (2 0 0)
1.396 Å, rel. 29.3, (3 1 4)
1.565 Å, rel. 17.2, (2 0 8)
1.654 Å, rel. 13.2, (2 2 0)
2.104 Å, rel. 11.2, (0 0 8)

Cell and atoms:
```
data_ErIn2Ag
_chemical_formula_sum 'Er4 In8 Ag4'
_cell_length_a 4.680
_cell_length_b 4.680
_cell_length_c 16.835
_cell_angle_alpha 90.00
_cell_angle_beta 90.00
_cell_angle_gamma 90.00
_space_group_name_H-M_alt 'I 4/m m m'
_space_group_IT_number 139
_space_group_name_Hall '-I 4 2'
loop_
_atom_site_label
_atom_site_type_symbol
_atom_site_fract_x
_atom_site_fract_y
_atom_site_fract_z
_atom_site_occupancy
Er1 Er 0.000 0.000 0.130 1
In1 In 0.000 0.000 0.355 1
In2 In 0.000 0.500 0.000 1
Ag1 Ag 0.000 0.500 0.250 1
```

K6Na14Tl18Cd: simulated powder diffractogram (Cu Kα (weighted mean of Kα1 and Kα2)), based on DFT lattice parameters and positions (PBE).
Kinematic intensities with the Lorentz-polarization factor, no thermal factor.

Principal peaks in the range 15 to 90 degrees two-theta, in order of falling intensity:
2.610 Å, rel. 100.0, (3 2 2)
2.985 Å, rel. 40.3, (3 0 2)
2.691 Å, rel. 35.5, (4 0 0)
2.876 Å, rel. 34.2, (3 1 2)
2.406 Å, rel. 28.1, (4 2 0)
1.681 Å, rel. 23.7, (4 4 3)

Cell and atoms:
```
data_K6Na14Tl18Cd
_chemical_formula_sum 'K6 Na14 Tl18 Cd1'
_cell_length_a 10.762
_cell_length_b 10.762
_cell_length_c 10.762
_cell_angle_alpha 90.00
_cell_angle_beta 90.00
_cell_angle_gamma 90.00
_space_group_name_H-M_alt 'P m -3'
_space_group_IT_number 200
_space_group_name_Hall '-P 2 2 3'
loop_
_atom_site_label
_atom_site_type_symbol
_atom_site_fract_x
_atom_site_fract_y
_atom_site_fract_z
_atom_site_occupancy
K1 K 0.000 0.310 0.500 1
Na1 Na 0.000 0.500 0.167 1
Na2 Na 0.219 0.219 0.219 1
Tl1 Tl 0.000 0.000 0.223 1
Tl2 Tl 0.244 0.500 0.344 1
Cd1 Cd 0.500 0.500 0.500 1
```

LiTiZn6: simulated powder diffractogram (Cu Kα (weighted mean of Kα1 and Kα2)), based on DFT lattice parameters and positions (PBE).
Kinematic intensities with the Lorentz-polarization factor, no thermal factor.

Principal peaks in the range 15 to 90 degrees two-theta, in order of falling intensity:
2.127 Å, rel. 100.0, (2 0 1)
2.439 Å, rel. 25.7, (2 0 0)
2.175 Å, rel. 23.7, (0 0 2)
1.182 Å, rel. 17.6, (2 2 2)
1.408 Å, rel. 17.1, (2 2 0)
1.246 Å, rel. 15.8, (2 0 3)

Cell and atoms:
```
data_LiTiZn6
_chemical_formula_sum 'Li1 Ti1 Zn6'
_cell_length_a 5.6329
_cell_length_b 5.6329
_cell_length_c 4.3496
_cell_angle_alpha 90.00
_cell_angle_beta 90.00
_cell_angle_gamma 120.00
_space_group_name_H-M_alt 'P -6 m 2'
_space_group_IT_number 187
_space_group_name_Hall 'P -6 2'
loop_
_atom_site_label
_atom_site_type_symbol
_atom_site_fract_x
_atom_site_fract_y
_atom_site_fract_z
_atom_site_occupancy
Li1 Li 0.0000 0.0000 0.0000 1
Ti1 Ti 0.6667 0.3333 0.5000 1
Zn1 Zn 0.0013 0.5007 0.0000 1
Zn2 Zn 0.1674 0.3348 0.5000 1
```

AgAs3Se4: simulated powder diffractogram (Cu Kα (weighted mean of Kα1 and Kα2)), based on DFT lattice parameters and positions (PBE).
Kinematic intensities with the Lorentz-polarization factor, no thermal factor.

Principal peaks in the range 15 to 90 degrees two-theta, in order of falling intensity:
4.262 Å, rel. 100.0, (2 1 0)
2.835 Å, rel. 97.7, (0 0 2)
2.698 Å, rel. 93.3, (4 0 0)
2.129 Å, rel. 83.2, (2 3 0)
1.703 Å, rel. 73.3, (2 3 2)
3.474 Å, rel. 65.4, (0 2 0)

Cell and atoms:
```
data_AgAs3Se4
_chemical_formula_sum 'Ag2 As6 Se8'
_cell_length_a 10.792
_cell_length_b 6.947
_cell_length_c 5.671
_cell_angle_alpha 90.00
_cell_angle_beta 90.00
_cell_angle_gamma 90.00
_space_group_name_H-M_alt 'P m n 21'
_space_group_IT_number 31
loop_
_space_group_symop_operation_xyz
'x,y,z'
'-x+1/2,-y,z+1/2'
'-x,y,z'
'x+1/2,-y,z+1/2'
loop_
_atom_site_label
_atom_site_type_symbol
_atom_site_fract_x
_atom_site_fract_y
_atom_site_fract_z
_atom_site_occupancy
Ag1 Ag 0.000 0.224 0.000 1
As1 As 0.000 0.895 0.508 1
As2 As 0.241 0.682 0.043 1
Se1 Se 0.000 0.239 0.515 1
Se2 Se 0.000 0.823 0.087 1
Se3 Se 0.244 0.336 0.040 1
```

AlAg2GeS4: simulated powder diffractogram (Cu Kα (weighted mean of Kα1 and Kα2)), based on DFT lattice parameters and positions (PBE).
Kinematic intensities with the Lorentz-polarization factor, no thermal factor.

Principal peaks in the range 15 to 90 degrees two-theta, in order of falling intensity:
3.278 Å, rel. 100.0, (1 1 2)
1.986 Å, rel. 37.7, (2 0 4)
1.739 Å, rel. 29.1, (3 1 2)
2.052 Å, rel. 20.6, (2 2 0)
5.122 Å, rel. 13.7, (1 0 1)
1.661 Å, rel. 12.6, (1 1 6)

Cell and atoms:
```
data_AlAg2GeS4
_chemical_formula_sum 'Al2 Ag4 Ge2 S8'
_cell_length_a 5.803
_cell_length_b 5.803
_cell_length_c 10.895
_cell_angle_alpha 90.00
_cell_angle_beta 90.00
_cell_angle_gamma 90.00
_space_group_name_H-M_alt 'I -4'
_space_group_IT_number 82
loop_
_space_group_symop_operation_xyz
'x,y,z'
'y,-x,-z'
'-x,-y,z'
'-y,x,-z'
'x+1/2,y+1/2,z+1/2'
'y+1/2,-x+1/2,-z+1/2'
'-x+1/2,-y+1/2,z+1/2'
'-y+1/2,x+1/2,-z+1/2'
loop_
_atom_site_label
_atom_site_type_symbol
_atom_site_fract_x
_atom_site_fract_y
_atom_site_fract_z
_atom_site_occupancy
Al1 Al 0.000 0.000 0.000 1
Ag1 Ag 0.000 0.000 0.500 1
Ag2 Ag 0.000 0.500 0.750 1
Ge1 Ge 0.000 0.500 0.250 1
S1 S 0.220 0.764 0.120 1
```

CsTlHg10: simulated powder diffractogram (Cu Kα (weighted mean of Kα1 and Kα2)), based on DFT lattice parameters and positions (PBE).
Kinematic intensities with the Lorentz-polarization factor, no thermal factor.

Principal peaks in the range 15 to 90 degrees two-theta, in order of falling intensity:
2.740 Å, rel. 100.0, (1 1 3)
2.784 Å, rel. 64.4, (2 0 0)
2.484 Å, rel. 57.6, (1 2 2)
2.797 Å, rel. 56.2, (1 2 0)
2.775 Å, rel. 29.3, (0 2 2)
1.756 Å, rel. 27.9, (1 3 3)

Cell and atoms:
```
data_CsTlHg10
_chemical_formula_sum 'Cs1 Tl1 Hg10'
_cell_length_a 5.568
_cell_length_b 6.468
_cell_length_c 10.807
_cell_angle_alpha 90.00
_cell_angle_beta 90.00
_cell_angle_gamma 90.00
_space_group_name_H-M_alt 'P m m m'
_space_group_IT_number 47
loop_
_space_group_symop_operation_xyz
'x,y,z'
'-x,-y,-z'
'-x,-y,z'
'x,y,-z'
'x,-y,-z'
'-x,y,z'
'-x,y,-z'
'x,-y,z'
loop_
_atom_site_label
_atom_site_type_symbol
_atom_site_fract_x
_atom_site_fract_y
_atom_site_fract_z
_atom_site_occupancy
Cs1 Cs 0.000 0.000 0.000 1
Tl1 Tl 0.000 0.500 0.500 1
Hg1 Hg 0.000 0.000 0.349 1
Hg2 Hg 0.000 0.500 0.187 1
Hg3 Hg 0.500 0.000 0.500 1
Hg4 Hg 0.500 0.251 0.255 1
Hg5 Hg 0.500 0.500 0.000 1
```

Sn2Te2Pd3: simulated powder diffractogram (Cu Kα (weighted mean of Kα1 and Kα2)), based on DFT lattice parameters and positions (PBE).
Kinematic intensities with the Lorentz-polarization factor, no thermal factor.

Principal peaks in the range 15 to 90 degrees two-theta, in order of falling intensity:
2.697 Å, rel. 100.0, (3 1 -1)
2.889 Å, rel. 57.4, (2 0 2)
2.019 Å, rel. 34.7, (1 1 -3)
2.178 Å, rel. 33.5, (0 2 0)
1.739 Å, rel. 27.3, (2 2 2)
1.927 Å, rel. 27.0, (5 1 1)

Cell and atoms:
```
data_Sn2Te2Pd3
_chemical_formula_sum 'Sn4 Te4 Pd6'
_cell_length_a 11.533
_cell_length_b 4.355
_cell_length_c 6.905
_cell_angle_alpha 90.00
_cell_angle_beta 93.15
_cell_angle_gamma 90.00
_space_group_name_H-M_alt 'C 1 2/m 1'
_space_group_IT_number 12
loop_
_space_group_symop_operation_xyz
'x,y,z'
'-x,-y,-z'
'-x,y,-z'
'x,-y,z'
'x+1/2,y+1/2,z'
'-x+1/2,-y+1/2,-z'
'-x+1/2,y+1/2,-z'
'x+1/2,-y+1/2,z'
loop_
_atom_site_label
_atom_site_type_symbol
_atom_site_fract_x
_atom_site_fract_y
_atom_site_fract_z
_atom_site_occupancy
Sn1 Sn 0.137 0.000 0.427 1
Te1 Te 0.146 0.500 0.845 1
Pd1 Pd 0.000 0.500 0.500 1
Pd2 Pd 0.218 0.500 0.245 1
```

GaCu5Pt8: simulated powder diffractogram (Cu Kα (weighted mean of Kα1 and Kα2)), based on DFT lattice parameters and positions (PBE).
Kinematic intensities with the Lorentz-polarization factor, no thermal factor.

Principal peaks in the range 15 to 90 degrees two-theta, in order of falling intensity:
2.032 Å, rel. 100.0, (1 2 3)
2.339 Å, rel. 83.3, (3 1 0)
3.041 Å, rel. 82.9, (1 2 1)
2.433 Å, rel. 75.8, (1 0 3)
2.001 Å, rel. 71.9, (3 1 2)
2.349 Å, rel. 63.9, (3 0 1)

Cell and atoms:
```
data_GaCu5Pt8
_chemical_formula_sum 'Ga2 Cu10 Pt16'
_cell_length_a 7.398
_cell_length_b 7.398
_cell_length_c 7.728
_cell_angle_alpha 90.00
_cell_angle_beta 90.00
_cell_angle_gamma 90.00
_space_group_name_H-M_alt 'I -4'
_space_group_IT_number 82
loop_
_space_group_symop_operation_xyz
'x,y,z'
'y,-x,-z'
'-x,-y,z'
'-y,x,-z'
'x+1/2,y+1/2,z+1/2'
'y+1/2,-x+1/2,-z+1/2'
'-x+1/2,-y+1/2,z+1/2'
'-y+1/2,x+1/2,-z+1/2'
loop_
_atom_site_label
_atom_site_type_symbol
_atom_site_fract_x
_atom_site_fract_y
_atom_site_fract_z
_atom_site_occupancy
Ga1 Ga 0.000 0.000 0.000 1
Cu1 Cu 0.000 0.500 0.750 1
Cu2 Cu 0.115 0.702 0.331 1
Pt1 Pt 0.069 0.833 0.656 1
Pt2 Pt 0.098 0.685 0.001 1
```

Na2U2O5: simulated powder diffractogram (Cu Kα (weighted mean of Kα1 and Kα2)), based on DFT lattice parameters and positions (PBE).
Kinematic intensities with the Lorentz-polarization factor, no thermal factor.

Principal peaks in the range 15 to 90 degrees two-theta, in order of falling intensity:
4.524 Å, rel. 100.0, (0 0 1)
2.666 Å, rel. 97.1, (1 3 1)
3.160 Å, rel. 72.0, (1 1 1)
3.300 Å, rel. 71.4, (1 3 0)
4.417 Å, rel. 71.4, (1 1 0)
3.511 Å, rel. 51.2, (0 4 0)

Cell and atoms:
```
data_Na2U2O5
_chemical_formula_sum 'Na4 U4 O10'
_cell_length_a 4.653
_cell_length_b 14.043
_cell_length_c 4.524
_cell_angle_alpha 90.00
_cell_angle_beta 90.00
_cell_angle_gamma 90.00
_space_group_name_H-M_alt 'C m m m'
_space_group_IT_number 65
_space_group_name_Hall '-C 2 2'
loop_
_atom_site_label
_atom_site_type_symbol
_atom_site_fract_x
_atom_site_fract_y
_atom_site_fract_z
_atom_site_occupancy
Na1 Na 0.000 0.156 0.000 1
U1 U 0.000 0.349 0.500 1
O1 O 0.000 0.180 0.500 1
O2 O 0.000 0.340 0.000 1
O3 O 0.000 0.500 0.500 1
```

LiHo2Ga9: simulated powder diffractogram (Cu Kα (weighted mean of Kα1 and Kα2)), based on DFT lattice parameters and positions (PBE).
Kinematic intensities with the Lorentz-polarization factor, no thermal factor.

Principal peaks in the range 15 to 90 degrees two-theta, in order of falling intensity:
2.425 Å, rel. 100.0, (1 1 3)
2.112 Å, rel. 34.8, (2 0 0)
1.272 Å, rel. 24.8, (3 1 3)
1.481 Å, rel. 18.3, (2 0 6)
2.077 Å, rel. 13.8, (0 0 6)
1.494 Å, rel. 11.2, (2 2 0)

Cell and atoms:
```
data_LiHo2Ga9
_chemical_formula_sum 'Li1 Ho2 Ga9'
_cell_length_a 4.225
_cell_length_b 4.225
_cell_length_c 12.459
_cell_angle_alpha 90.00
_cell_angle_beta 90.00
_cell_angle_gamma 90.00
_space_group_name_H-M_alt 'P 4/m m m'
_space_group_IT_number 123
_space_group_name_Hall '-P 4 2'
loop_
_atom_site_label
_atom_site_type_symbol
_atom_site_fract_x
_atom_site_fract_y
_atom_site_fract_z
_atom_site_occupancy
Li1 Li 0.000 0.000 0.000 1
Ho1 Ho 0.000 0.000 0.324 1
Ga1 Ga 0.000 0.500 0.149 1
Ga2 Ga 0.000 0.500 0.500 1
Ga3 Ga 0.500 0.500 0.000 1
Ga4 Ga 0.500 0.500 0.337 1
```

Ni3PdPt7: simulated powder diffractogram (Cu Kα (weighted mean of Kα1 and Kα2)), based on DFT lattice parameters and positions (PBE).
Kinematic intensities with the Lorentz-polarization factor, no thermal factor.

Principal peaks in the range 15 to 90 degrees two-theta, in order of falling intensity:
2.256 Å, rel. 100.0, (0 4 0)
2.173 Å, rel. 90.1, (2 2 1)
2.073 Å, rel. 76.4, (0 2 2)
2.495 Å, rel. 63.5, (2 0 -2)
3.245 Å, rel. 61.7, (0 2 1)
1.881 Å, rel. 41.2, (4 2 -1)

Cell and atoms:
```
data_Ni3PdPt7
_chemical_formula_sum 'Ni6 Pd2 Pt14'
_cell_length_a 8.275
_cell_length_b 9.024
_cell_length_c 5.119
_cell_angle_alpha 90.00
_cell_angle_beta 114.20
_cell_angle_gamma 90.00
_space_group_name_H-M_alt 'C 1 2/m 1'
_space_group_IT_number 12
loop_
_space_group_symop_operation_xyz
'x,y,z'
'-x,-y,-z'
'-x,y,-z'
'x,-y,z'
'x+1/2,y+1/2,z'
'-x+1/2,-y+1/2,-z'
'-x+1/2,y+1/2,-z'
'x+1/2,-y+1/2,z'
loop_
_atom_site_label
_atom_site_type_symbol
_atom_site_fract_x
_atom_site_fract_y
_atom_site_fract_z
_atom_site_occupancy
Ni1 Ni 0.000 0.000 0.000 1
Ni2 Ni 0.000 0.227 0.500 1
Pd1 Pd 0.000 0.500 0.000 1
Pt1 Pt 0.000 0.500 0.500 1
Pt2 Pt 0.175 0.239 0.188 1
Pt3 Pt 0.184 0.000 0.531 1
```

Number 3 is which compound?
K6Na14Tl18Cd